Computed X-ray powder pattern of Li3Cr2Ni2O8 for copper Kα, from a PBE+U-relaxed structure.
No peak broadening, texture or thermal motion is included.

Structure:
Lattice parameters (Å, degrees): 10.0217 5.8924 5.8400 90.00 124.69 90.00
Space group C2/m (No. 12)
Symmetry-distinct sites (fractional):
1 Li 0.0000 0.0000 0.0000 (multiplicity 2)
2 Li 0.2500 0.2500 0.5000 (multiplicity 4)
3 Cr 0.2500 0.2500 0.0000 (multiplicity 4)
4 Ni 0.0000 0.5000 0.0000 (multiplicity 2)
5 Ni 0.0000 0.5000 0.5000 (multiplicity 2)
6 O 0.0083 0.2781 0.7740 (multiplicity 8)
7 O 0.2303 0.5000 0.2168 (multiplicity 4)
8 O 0.2499 0.0000 0.2295 (multiplicity 4)

Main lines, most intense first (10° ≤ 2θ ≤ 80°):
Position (°2θ)  intensity
18.50  100
43.65  50
43.95  25
35.89  18
18.77  15
37.50  14
64.09  13
63.25  13
36.08  10
36.18  9